(1)
This entry pairs a crystal structure of MgCdGa4 with its calculated powder X-ray diffraction pattern. Radiation: Cu Kα X-rays. Structure: DFT lattice parameters and positions (PBE).

Crystal structure
```
data_MgCdGa4
_chemical_formula_sum 'Mg1 Cd1 Ga4'
_cell_length_a 4.3865
_cell_length_b 4.3865
_cell_length_c 7.1559
_cell_angle_alpha 90.00
_cell_angle_beta 90.00
_cell_angle_gamma 120.00
_space_group_name_H-M_alt 'P -6 m 2'
_space_group_IT_number 187
_space_group_name_Hall 'P -6 2'
loop_
_atom_site_label
_atom_site_type_symbol
_atom_site_fract_x
_atom_site_fract_y
_atom_site_fract_z
_atom_site_occupancy
Mg1 Mg 0.0000 0.0000 0.0000 1
Cd1 Cd 0.0000 0.0000 0.5000 1
Ga1 Ga 0.3333 0.6667 0.1904 1
Ga2 Ga 0.6667 0.3333 0.2935 1
```

Most intense lines, 15° ≤ 2θ ≤ 90°, sorted by position:
| 2theta | I (rel.) | (hkl) |
| --- | --- | --- |
| 26.57 | 47 | 1 0 1 |
| 34.43 | 100 | 1 0 2 |
| 41.16 | 86 | 1 1 0 |
| 44.87 | 35 | 1 0 3 |
| 54.71 | 25 | 2 0 2 |
| 70.70 | 23 | 2 1 2 |
| 75.01 | 14 | 3 0 0 |
| 77.61 | 13 | 2 1 3 |



(2)
This entry pairs a crystal structure of HfZnFeCo with its calculated powder X-ray diffraction pattern. Radiation: Cu Kα X-rays. Structure: DFT lattice parameters and positions (PBE).

Crystal structure
```
data_HfZnFeCo
_chemical_formula_sum 'Hf4 Zn4 Fe4 Co4'
_cell_length_a 6.1238
_cell_length_b 6.1238
_cell_length_c 6.1238
_cell_angle_alpha 90.00
_cell_angle_beta 90.00
_cell_angle_gamma 90.00
_space_group_name_H-M_alt 'F -4 3 m'
_space_group_IT_number 216
_space_group_name_Hall 'F -4 2 3'
loop_
_atom_site_label
_atom_site_type_symbol
_atom_site_fract_x
_atom_site_fract_y
_atom_site_fract_z
_atom_site_occupancy
Hf1 Hf 0.0000 0.0000 0.0000 1
Zn1 Zn 0.2500 0.2500 0.2500 1
Fe1 Fe 0.0000 0.0000 0.5000 1
Co1 Co 0.2500 0.2500 0.7500 1
```

Most intense lines, 15° ≤ 2θ ≤ 90°, sorted by position:
| 2theta | I (rel.) | (hkl) |
| --- | --- | --- |
| 25.19 | 25 | 1 1 1 |
| 29.17 | 10 | 2 0 0 |
| 41.72 | 100 | 2 2 0 |
| 49.36 | 13 | 3 1 1 |
| 60.47 | 16 | 4 0 0 |
| 66.56 | 6 | 3 3 1 |
| 76.16 | 32 | 4 2 2 |
| 81.71 | 4 | 5 1 1 |



(3)
This entry pairs a crystal structure of TbYAl4Ni2 with its calculated powder X-ray diffraction pattern. Radiation: Cu Kα X-rays. Structure: DFT lattice parameters and positions (PBE).

Crystal structure
```
data_TbYAl4Ni2
_chemical_formula_sum 'Tb2 Y2 Al8 Ni4'
_cell_length_a 6.8832
_cell_length_b 4.0654
_cell_length_c 10.2319
_cell_angle_alpha 90.00
_cell_angle_beta 90.00
_cell_angle_gamma 90.00
_space_group_name_H-M_alt 'A m m 2'
_space_group_IT_number 38
loop_
_space_group_symop_operation_xyz
'x,y,z'
'-x,-y,z'
'-x,y,z'
'x,-y,z'
'x,y+1/2,z+1/2'
'-x,-y+1/2,z+1/2'
'-x,y+1/2,z+1/2'
'x,-y+1/2,z+1/2'
loop_
_atom_site_label
_atom_site_type_symbol
_atom_site_fract_x
_atom_site_fract_y
_atom_site_fract_z
_atom_site_occupancy
Tb1 Tb 0.0000 0.0000 0.0000 1
Y1 Y 0.5000 0.0000 0.1227 1
Al1 Al 0.1955 0.0000 0.7181 1
Al2 Al 0.3048 0.0000 0.4045 1
Ni1 Ni 0.0000 0.0000 0.2772 1
Ni2 Ni 0.5000 0.0000 0.8454 1
```

Most intense lines, 15° ≤ 2θ ≤ 90°, sorted by position:
| 2theta | I (rel.) | (hkl) |
| --- | --- | --- |
| 23.55 | 54 | 0 1 1 |
| 25.89 | 47 | 2 0 0 |
| 35.28 | 91 | 2 1 1 |
| 36.79 | 100 | 1 1 3 |
| 37.51 | 57 | 1 0 4 |
| 44.58 | 30 | 0 2 0 |
| 53.12 | 29 | 3 1 3 |
| 59.63 | 29 | 1 2 4 |



(4)
This entry pairs a crystal structure of FeNiHgB with its calculated powder X-ray diffraction pattern. Radiation: Cu Kα X-rays. Structure: DFT lattice parameters and positions (PBE).

Crystal structure
```
data_FeNiHgB
_chemical_formula_sum 'Fe4 Ni4 Hg4 B4'
_cell_length_a 5.8994
_cell_length_b 5.8994
_cell_length_c 5.8994
_cell_angle_alpha 90.00
_cell_angle_beta 90.00
_cell_angle_gamma 90.00
_space_group_name_H-M_alt 'F -4 3 m'
_space_group_IT_number 216
_space_group_name_Hall 'F -4 2 3'
loop_
_atom_site_label
_atom_site_type_symbol
_atom_site_fract_x
_atom_site_fract_y
_atom_site_fract_z
_atom_site_occupancy
Fe1 Fe 0.0000 0.0000 0.0000 1
Ni1 Ni 0.2500 0.2500 0.7500 1
Hg1 Hg 0.2500 0.2500 0.2500 1
B1 B 0.0000 0.0000 0.5000 1
```

Most intense lines, 15° ≤ 2θ ≤ 90°, sorted by position:
| 2theta | I (rel.) | (hkl) |
| --- | --- | --- |
| 26.16 | 47 | 1 1 1 |
| 30.30 | 47 | 2 0 0 |
| 43.38 | 100 | 2 2 0 |
| 51.37 | 24 | 3 1 1 |
| 53.83 | 13 | 2 2 2 |
| 63.03 | 16 | 4 0 0 |
| 71.52 | 17 | 4 2 0 |
| 79.61 | 33 | 4 2 2 |



(5)
This entry pairs a crystal structure of YMgPt with its calculated powder X-ray diffraction pattern. Radiation: Cu Kα X-rays. Structure: DFT lattice parameters and positions (PBE).

Crystal structure
```
data_YMgPt
_chemical_formula_sum 'Y2 Mg2 Pt2'
_cell_length_a 5.0077
_cell_length_b 5.0077
_cell_length_c 5.8843
_cell_angle_alpha 90.00
_cell_angle_beta 90.00
_cell_angle_gamma 120.00
_space_group_name_H-M_alt 'P 63 m c'
_space_group_IT_number 186
_space_group_name_Hall 'P 6c -2c'
loop_
_atom_site_label
_atom_site_type_symbol
_atom_site_fract_x
_atom_site_fract_y
_atom_site_fract_z
_atom_site_occupancy
Y1 Y 0.3333 0.6667 0.0000 1
Mg1 Mg 0.0000 0.0000 0.2524 1
Pt1 Pt 0.3333 0.6667 0.4985 1
```

Most intense lines, 15° ≤ 2θ ≤ 90°, sorted by position:
| 2theta | I (rel.) | (hkl) |
| --- | --- | --- |
| 20.48 | 57 | 1 0 0 |
| 25.52 | 37 | 1 0 1 |
| 30.38 | 36 | 0 0 2 |
| 35.86 | 100 | 1 1 0 |
| 36.92 | 54 | 1 0 2 |
| 47.69 | 62 | 1 1 2 |
| 65.15 | 20 | 2 1 2 |
| 74.86 | 23 | 1 1 4 |



(6)
This entry pairs a crystal structure of Ho2Ga6Fe11 with its calculated powder X-ray diffraction pattern. Radiation: Cu Kα X-rays. Structure: DFT lattice parameters and positions (PBE).

Crystal structure
```
data_Ho2Ga6Fe11
_chemical_formula_sum 'Ho6 Ga18 Fe33'
_cell_length_a 8.6719
_cell_length_b 8.6719
_cell_length_c 12.4289
_cell_angle_alpha 90.00
_cell_angle_beta 90.00
_cell_angle_gamma 120.00
_space_group_name_H-M_alt 'R -3 m'
_space_group_IT_number 166
_space_group_name_Hall '-R 3 2"'
loop_
_atom_site_label
_atom_site_type_symbol
_atom_site_fract_x
_atom_site_fract_y
_atom_site_fract_z
_atom_site_occupancy
Ho1 Ho 0.0000 0.0000 0.1514 1
Ga1 Ga 0.0000 0.3066 0.5000 1
Fe1 Fe 0.0000 0.0000 0.3958 1
Fe2 Fe 0.0000 0.5000 0.0000 1
Fe3 Fe 0.0013 0.5007 0.3417 1
```

Most intense lines, 15° ≤ 2θ ≤ 90°, sorted by position:
| 2theta | I (rel.) | (hkl) |
| --- | --- | --- |
| 29.83 | 19 | 1 1 3 |
| 35.87 | 50 | 3 0 0 |
| 37.57 | 24 | 0 2 4 |
| 41.66 | 43 | 2 2 0 |
| 42.18 | 100 | 3 0 3 |
| 43.69 | 33 | 0 0 6 |
| 47.32 | 20 | 2 2 3 |
| 68.79 | 19 | 3 3 3 |



(7)
This entry pairs a crystal structure of RbNb3Sn5 with its calculated powder X-ray diffraction pattern. Radiation: Cu Kα X-rays. Structure: DFT lattice parameters and positions (PBE).

Crystal structure
```
data_RbNb3Sn5
_chemical_formula_sum 'Rb1 Nb3 Sn5'
_cell_length_a 5.7662
_cell_length_b 5.7662
_cell_length_c 7.6556
_cell_angle_alpha 90.00
_cell_angle_beta 90.00
_cell_angle_gamma 120.00
_space_group_name_H-M_alt 'P 6/m m m'
_space_group_IT_number 191
_space_group_name_Hall '-P 6 2'
loop_
_atom_site_label
_atom_site_type_symbol
_atom_site_fract_x
_atom_site_fract_y
_atom_site_fract_z
_atom_site_occupancy
Rb1 Rb 0.0000 0.0000 0.0000 1
Nb1 Nb 0.0000 0.5000 0.5000 1
Sn1 Sn 0.0000 0.0000 0.5000 1
Sn2 Sn 0.3333 0.6667 0.1917 1
```

Most intense lines, 15° ≤ 2θ ≤ 90°, sorted by position:
| 2theta | I (rel.) | (hkl) |
| --- | --- | --- |
| 29.40 | 54 | 1 0 2 |
| 31.02 | 97 | 1 1 0 |
| 35.17 | 37 | 0 0 3 |
| 37.90 | 53 | 2 0 1 |
| 43.26 | 100 | 2 0 2 |
| 47.57 | 32 | 0 0 4 |
| 61.03 | 29 | 2 0 4 |
| 64.66 | 33 | 2 2 0 |



(8)
This entry pairs a crystal structure of GdHo2Sn4Au4 with its calculated powder X-ray diffraction pattern. Radiation: Cu Kα X-rays. Structure: DFT lattice parameters and positions (PBE).

Crystal structure
```
data_GdHo2Sn4Au4
_chemical_formula_sum 'Gd2 Ho4 Sn8 Au8'
_cell_length_a 4.5448
_cell_length_b 7.2822
_cell_length_c 15.4839
_cell_angle_alpha 90.00
_cell_angle_beta 90.00
_cell_angle_gamma 90.00
_space_group_name_H-M_alt 'I m m m'
_space_group_IT_number 71
_space_group_name_Hall '-I 2 2'
loop_
_atom_site_label
_atom_site_type_symbol
_atom_site_fract_x
_atom_site_fract_y
_atom_site_fract_z
_atom_site_occupancy
Gd1 Gd 0.0000 0.0000 0.0000 1
Ho1 Ho 0.0000 0.5000 0.1287 1
Sn1 Sn 0.0000 0.0000 0.2147 1
Sn2 Sn 0.0000 0.1961 0.5000 1
Au1 Au 0.0000 0.2956 0.3314 1
```

Most intense lines, 15° ≤ 2θ ≤ 90°, sorted by position:
| 2theta | I (rel.) | (hkl) |
| --- | --- | --- |
| 32.02 | 100 | 1 2 1 |
| 32.78 | 70 | 1 1 4 |
| 34.76 | 31 | 0 0 6 |
| 36.08 | 42 | 1 2 3 |
| 39.66 | 49 | 2 0 0 |
| 41.09 | 32 | 0 3 3 |
| 43.21 | 26 | 1 2 5 |
| 58.44 | 23 | 2 3 3 |



(9)
This entry pairs a crystal structure of GdU2 with its calculated powder X-ray diffraction pattern. Radiation: Cu Kα X-rays. Structure: DFT lattice parameters and positions (PBE).

Crystal structure
Lattice parameters (Å, degrees): 11.8390 11.8390 11.8390 90.00 90.00 90.00
Space group Fd-3m (No. 227, origin choice 2)
Symmetry-distinct sites (fractional):
Gd: 0.1250 0.1250 0.1250 [8 per cell]
U: 0.0000 0.0000 0.0000 [16 per cell]

Most intense lines, 15° ≤ 2θ ≤ 90°, sorted by position:
| 2theta | I (rel.) | (hkl) |
| --- | --- | --- |
| 21.23 | 29 | 2 2 0 |
| 26.07 | 100 | 2 2 2 |
| 32.98 | 92 | 3 3 1 |
| 43.23 | 72 | 4 4 0 |
| 45.32 | 77 | 5 3 1 |
| 51.18 | 50 | 6 2 2 |
| 55.42 | 43 | 7 1 1 |
| 72.78 | 30 | 9 1 1 |



(10)
This entry pairs a crystal structure of LaErS2F2 with its calculated powder X-ray diffraction pattern. Radiation: Cu Kα X-rays. Structure: DFT lattice parameters and positions (PBE).

Crystal structure
```
data_LaErS2F2
_chemical_formula_sum 'La1 Er1 S2 F2'
_cell_length_a 3.8550
_cell_length_b 3.8550
_cell_length_c 6.8800
_cell_angle_alpha 90.00
_cell_angle_beta 90.00
_cell_angle_gamma 90.00
_space_group_name_H-M_alt 'P 4 m m'
_space_group_IT_number 99
loop_
_space_group_symop_operation_xyz
'x,y,z'
'-y,x,z'
'-x,-y,z'
'y,-x,z'
'-x,y,z'
'y,x,z'
'x,-y,z'
'-y,-x,z'
loop_
_atom_site_label
_atom_site_type_symbol
_atom_site_fract_x
_atom_site_fract_y
_atom_site_fract_z
_atom_site_occupancy
La1 La 0.0000 0.0000 0.0000 1
Er1 Er 0.5000 0.5000 0.4610 1
S1 S 0.0000 0.0000 0.5747 1
S2 S 0.5000 0.5000 0.8621 1
F1 F 0.0000 0.5000 0.2390 1
```

Most intense lines, 15° ≤ 2θ ≤ 90°, sorted by position:
| 2theta | I (rel.) | (hkl) |
| --- | --- | --- |
| 25.90 | 32 | 0 0 2 |
| 26.50 | 100 | 1 0 1 |
| 32.86 | 51 | 1 1 0 |
| 42.30 | 57 | 1 1 2 |
| 46.05 | 35 | 1 0 3 |
| 47.15 | 28 | 2 0 0 |
| 54.90 | 28 | 2 1 1 |
| 68.03 | 22 | 2 1 3 |



(11)
This entry pairs a crystal structure of Pr2Nd2B2Br5 with its calculated powder X-ray diffraction pattern. Radiation: Cu Kα X-rays. Structure: DFT lattice parameters and positions (PBE).

Crystal structure
```
data_Pr2Nd2B2Br5
_chemical_formula_sum 'Pr4 Nd4 B4 Br10'
_cell_length_a 20.5041
_cell_length_b 4.0436
_cell_length_c 8.3939
_cell_angle_alpha 90.00
_cell_angle_beta 104.10
_cell_angle_gamma 90.00
_space_group_name_H-M_alt 'C 1 2/m 1'
_space_group_IT_number 12
loop_
_space_group_symop_operation_xyz
'x,y,z'
'-x,-y,-z'
'-x,y,-z'
'x,-y,z'
'x+1/2,y+1/2,z'
'-x+1/2,-y+1/2,-z'
'-x+1/2,y+1/2,-z'
'x+1/2,-y+1/2,z'
loop_
_atom_site_label
_atom_site_type_symbol
_atom_site_fract_x
_atom_site_fract_y
_atom_site_fract_z
_atom_site_occupancy
Pr1 Pr 0.0006 0.0000 0.2066 1
Nd1 Nd 0.1607 0.5000 0.1058 1
B1 B 0.0395 0.5000 0.0236 1
Br1 Br 0.0000 0.5000 0.5000 1
Br2 Br 0.1616 0.0000 0.3620 1
Br3 Br 0.1693 0.0000 0.8471 1
```

Most intense lines, 15° ≤ 2θ ≤ 90°, sorted by position:
| 2theta | I (rel.) | (hkl) |
| --- | --- | --- |
| 26.74 | 24 | 3 1 -1 |
| 26.90 | 77 | 6 0 0 |
| 30.72 | 100 | 1 1 -2 |
| 31.56 | 20 | 6 0 1 |
| 40.68 | 40 | 7 1 -2 |
| 41.87 | 43 | 5 1 2 |
| 44.83 | 20 | 0 2 0 |
| 53.06 | 23 | 6 2 0 |



(12)
This entry pairs a crystal structure of PrHoTlTe3 with its calculated powder X-ray diffraction pattern. Radiation: Cu Kα X-rays. Structure: DFT lattice parameters and positions (PBE).

Crystal structure
```
data_PrHoTlTe3
_chemical_formula_sum 'Pr4 Ho4 Tl4 Te12'
_cell_length_a 4.4322
_cell_length_b 15.3634
_cell_length_c 12.2127
_cell_angle_alpha 90.00
_cell_angle_beta 90.00
_cell_angle_gamma 90.00
_space_group_name_H-M_alt 'C m c m'
_space_group_IT_number 63
_space_group_name_Hall '-C 2c 2'
loop_
_atom_site_label
_atom_site_type_symbol
_atom_site_fract_x
_atom_site_fract_y
_atom_site_fract_z
_atom_site_occupancy
Pr1 Pr 0.0000 0.0767 0.2500 1
Ho1 Ho 0.0000 0.5000 0.0000 1
Tl1 Tl 0.0000 0.2351 0.7500 1
Te1 Te 0.0000 0.1421 0.0157 1
Te2 Te 0.0000 0.4357 0.2500 1
```

Most intense lines, 15° ≤ 2θ ≤ 90°, sorted by position:
| 2theta | I (rel.) | (hkl) |
| --- | --- | --- |
| 26.60 | 57 | 1 3 0 |
| 27.60 | 100 | 1 3 1 |
| 29.25 | 75 | 0 0 4 |
| 30.42 | 40 | 1 3 2 |
| 34.67 | 45 | 1 3 3 |
| 38.11 | 51 | 0 6 2 |
| 39.95 | 36 | 1 3 4 |
| 56.99 | 34 | 2 6 2 |



(13)
This entry pairs a crystal structure of Dy4CI3Br2 with its calculated powder X-ray diffraction pattern. Radiation: Cu Kα X-rays. Structure: DFT lattice parameters and positions (PBE).

Crystal structure
```
data_Dy4CI3Br2
_chemical_formula_sum 'Dy8 C2 I6 Br4'
_cell_length_a 18.5126
_cell_length_b 3.9097
_cell_length_c 8.4864
_cell_angle_alpha 90.00
_cell_angle_beta 101.63
_cell_angle_gamma 90.00
_space_group_name_H-M_alt 'C 1 2/m 1'
_space_group_IT_number 12
loop_
_space_group_symop_operation_xyz
'x,y,z'
'-x,-y,-z'
'-x,y,-z'
'x,-y,z'
'x+1/2,y+1/2,z'
'-x+1/2,-y+1/2,-z'
'-x+1/2,y+1/2,-z'
'x+1/2,-y+1/2,z'
loop_
_atom_site_label
_atom_site_type_symbol
_atom_site_fract_x
_atom_site_fract_y
_atom_site_fract_z
_atom_site_occupancy
Dy1 Dy 0.0013 0.0000 0.3094 1
Dy2 Dy 0.1325 0.5000 0.5658 1
C1 C 0.0000 0.5000 0.5000 1
I1 I 0.0000 0.5000 0.0000 1
I2 I 0.1721 0.0000 0.3156 1
Br1 Br 0.1561 0.0000 0.8191 1
```

Most intense lines, 15° ≤ 2θ ≤ 90°, sorted by position:
| 2theta | I (rel.) | (hkl) |
| --- | --- | --- |
| 29.56 | 42 | 6 0 0 |
| 31.11 | 100 | 1 1 -2 |
| 33.71 | 20 | 5 1 0 |
| 33.84 | 21 | 5 1 -1 |
| 39.40 | 20 | 6 0 -3 |
| 43.01 | 24 | 5 1 2 |
| 43.88 | 23 | 7 1 -2 |
| 46.45 | 19 | 0 2 0 |